[1]
For AcPr8Sm2, a cell relaxed with GGA-PBE gives the simulated powder XRD pattern in this record (copper Kα).

Lattice parameters (Å, degrees): 5.715 8.655 16.447 90.00 90.00 90.00
Space group Immm (No. 71)
One atom of each set of equivalent atoms:
Ac 0.000 0.000 0.000 [2 per cell]
Pr 0.000 0.203 0.500 [4 per cell]
Pr 0.000 0.297 0.144 [8 per cell]
Pr 0.000 0.500 0.341 [4 per cell]
Sm 0.000 0.000 0.299 [4 per cell]

Largest 10 diffraction maxima, low angle first, 2θ = 15–90°:
| h k l | 2θ (°) | I/Imax |
| --- | --- | --- |
| 1 1 4 | 28.67 | 32 |
| 1 2 3 | 30.62 | 100 |
| 2 0 0 | 31.32 | 40 |
| 0 3 1 | 31.48 | 14 |
| 0 0 6 | 32.67 | 16 |
| 2 3 1 | 44.99 | 11 |
| 2 0 6 | 45.87 | 13 |
| 0 3 7 | 50.07 | 12 |
| 3 2 3 | 55.29 | 19 |
| 2 3 7 | 60.23 | 26 |

[2]
For CsKRb2Hg, a cell relaxed with GGA-PBE gives the simulated powder XRD pattern in this record (copper Kα).

Lattice parameters (Å, degrees): 7.288 7.288 7.084 90.00 90.00 90.00
Space group P4/mmm (No. 123)
One atom of each set of equivalent atoms:
Cs 0.000 0.000 0.000 [1 per cell]
K 0.500 0.500 0.000 [1 per cell]
Rb 0.000 0.500 0.500 [2 per cell]
Hg 0.500 0.500 0.500 [1 per cell]

Largest 10 diffraction maxima, low angle first, 2θ = 15–90°:
| h k l | 2θ (°) | I/Imax |
| --- | --- | --- |
| 1 1 0 | 17.21 | 24 |
| 1 0 1 | 17.46 | 100 |
| 1 1 1 | 21.32 | 18 |
| 2 0 0 | 24.43 | 84 |
| 0 0 2 | 25.14 | 39 |
| 2 1 1 | 30.18 | 55 |
| 2 2 0 | 34.82 | 33 |
| 2 0 2 | 35.34 | 64 |
| 2 2 2 | 43.43 | 36 |
| 4 2 2 | 62.76 | 24 |

[3]
For Zn2CuRu2, a cell relaxed with GGA-PBE gives the simulated powder XRD pattern in this record (copper Kα).

Lattice parameters (Å, degrees): 6.153 6.153 3.710 90.00 90.00 90.00
Space group P4/mbm (No. 127)
One atom of each set of equivalent atoms:
Zn 0.137 0.363 0.000 [4 per cell]
Cu 0.000 0.000 0.000 [2 per cell]
Ru 0.167 0.667 0.500 [4 per cell]

Largest 10 diffraction maxima, low angle first, 2θ = 15–90°:
| h k l | 2θ (°) | I/Imax |
| --- | --- | --- |
| 2 0 1 | 37.99 | 20 |
| 2 1 1 | 40.83 | 100 |
| 2 2 0 | 41.51 | 5 |
| 3 1 0 | 46.68 | 31 |
| 0 0 2 | 49.11 | 18 |
| 4 1 1 | 67.67 | 11 |
| 3 1 2 | 70.08 | 17 |
| 5 1 1 | 84.41 | 6 |
| 2 1 3 | 86.22 | 11 |
| 5 2 1 | 89.82 | 12 |

What did the third record say?
For Zn2CuRu2, a cell relaxed with GGA-PBE gives the simulated powder XRD pattern in this record (copper Kα).

Lattice parameters (Å, degrees): 6.153 6.153 3.710 90.00 90.00 90.00
Space group P4/mbm (No. 127)
One atom of each set of equivalent atoms:
Zn 0.137 0.363 0.000 [4 per cell]
Cu 0.000 0.000 0.000 [2 per cell]
Ru 0.167 0.667 0.500 [4 per cell]

Largest 10 diffraction maxima, low angle first, 2θ = 15–90°:
| h k l | 2θ (°) | I/Imax |
| --- | --- | --- |
| 2 0 1 | 37.99 | 20 |
| 2 1 1 | 40.83 | 100 |
| 2 2 0 | 41.51 | 5 |
| 3 1 0 | 46.68 | 31 |
| 0 0 2 | 49.11 | 18 |
| 4 1 1 | 67.67 | 11 |
| 3 1 2 | 70.08 | 17 |
| 5 1 1 | 84.41 | 6 |
| 2 1 3 | 86.22 | 11 |
| 5 2 1 | 89.82 | 12 |